1.
Structure and theoretical powder diffractogram of ErTmMnCo (a cell relaxed with PBE; Cu Kα, 1.54184 Å).
No peak broadening, texture or thermal motion is included.

Main lines, sorted by position (2θ from 10° to 80°):
| Position (°2θ) | Rel. int. |
| --- | --- |
| 26.14 | 28 |
| 37.30 | 100 |
| 53.78 | 17 |
| 60.75 | 12 |
| 67.27 | 34 |
| 79.52 | 11 |

Structure:
Cell lengths 6.8186, 6.8186, 6.8186 Å; angles 90.00, 90.00, 90.00 degrees
Fractional coordinates of all 16 atoms:
Er: 0.0000 0.0000 0.0000
Er: 0.0000 0.5000 0.5000
Er: 0.5000 0.0000 0.5000
Er: 0.5000 0.5000 0.0000
Tm: 0.0000 0.0000 0.5000
Tm: 0.0000 0.5000 0.0000
Tm: 0.5000 0.0000 0.0000
Tm: 0.5000 0.5000 0.5000
Mn: 0.2500 0.2500 0.7500
Mn: 0.2500 0.7500 0.2500
Mn: 0.7500 0.2500 0.2500
Mn: 0.7500 0.7500 0.7500
Co: 0.2500 0.2500 0.2500
Co: 0.2500 0.7500 0.7500
Co: 0.7500 0.2500 0.7500
Co: 0.7500 0.7500 0.2500

---

2.
Structure and theoretical powder diffractogram of ErCo10Mo2 (a cell relaxed with PBE; Cu Kα, 1.54184 Å).
No peak broadening, texture or thermal motion is included.

Main lines, sorted by position (2θ from 10° to 80°):
| Position (°2θ) | Rel. int. |
| --- | --- |
| 37.39 | 63 |
| 42.99 | 47 |
| 43.33 | 100 |
| 44.36 | 66 |
| 49.62 | 20 |
| 79.74 | 21 |

Structure:
Cell lengths 6.3937, 6.3937, 6.3937 Å; angles 137.15, 97.73, 97.61 degrees
Fractional coordinates of all 13 atoms:
Er: 0.0000 0.0000 0.0000
Co: 0.0000 0.0000 0.5000
Co: 0.0000 0.5000 0.0000
Co: 0.2093 0.5000 0.7093
Co: 0.2189 0.7189 0.5000
Co: 0.3589 0.0000 0.3589
Co: 0.5000 0.0000 0.0000
Co: 0.5000 0.5000 0.5000
Co: 0.6411 0.0000 0.6411
Co: 0.7811 0.2811 0.5000
Co: 0.7907 0.5000 0.2907
Mo: 0.3577 0.3577 0.0000
Mo: 0.6423 0.6423 0.0000

---

3.
Structure and theoretical powder diffractogram of ErCoMo (a cell relaxed with PBE; Cu Kα, 1.54184 Å).
No peak broadening, texture or thermal motion is included.

Main lines, sorted by position (2θ from 10° to 80°):
| Position (°2θ) | Rel. int. |
| --- | --- |
| 20.17 | 19 |
| 28.68 | 38 |
| 34.34 | 100 |
| 35.08 | 35 |
| 41.01 | 23 |
| 54.53 | 17 |

Structure:
Cell lengths 6.2250, 6.2250, 6.4875 Å; angles 90.00, 90.00, 90.00 degrees
Fractional coordinates of all 12 atoms:
Er: 0.2331 0.2331 0.0000
Er: 0.2669 0.7331 0.2500
Er: 0.7331 0.2669 0.7500
Er: 0.7669 0.7669 0.5000
Co: 0.0663 0.9337 0.7500
Co: 0.4337 0.4337 0.5000
Co: 0.5663 0.5663 0.0000
Co: 0.9337 0.0663 0.2500
Mo: 0.1708 0.1708 0.5000
Mo: 0.3292 0.6708 0.7500
Mo: 0.6708 0.3292 0.2500
Mo: 0.8292 0.8292 0.0000

---

4.
Structure and theoretical powder diffractogram of ErPaCoN4 (a cell relaxed with PBE; Cu Kα, 1.54184 Å).
No peak broadening, texture or thermal motion is included.

Main lines, sorted by position (2θ from 10° to 80°):
| Position (°2θ) | Rel. int. |
| --- | --- |
| 24.62 | 100 |
| 33.24 | 58 |
| 33.52 | 32 |
| 33.67 | 35 |
| 36.47 | 60 |
| 41.66 | 31 |

Structure:
Cell lengths 5.6169, 4.9274, 6.7143 Å; angles 90.00, 108.57, 90.00 degrees
Fractional coordinates of all 14 atoms:
Er: 0.2060 0.2500 0.4396
Er: 0.7940 0.7500 0.5604
Pa: 0.2549 0.2500 0.9464
Pa: 0.7451 0.7500 0.0536
Co: 0.2783 0.7500 0.2160
Co: 0.7217 0.2500 0.7840
N: 0.0567 0.7500 0.3649
N: 0.0922 0.7500 0.9356
N: 0.4819 0.0027 0.7510
N: 0.4819 0.4973 0.7510
N: 0.5181 0.5027 0.2490
N: 0.5181 0.9973 0.2490
N: 0.9078 0.2500 0.0644
N: 0.9433 0.2500 0.6351

---

5.
Structure and theoretical powder diffractogram of ErNbCo4 (a cell relaxed with PBE; Cu Kα, 1.54184 Å).
No peak broadening, texture or thermal motion is included.

Main lines, sorted by position (2θ from 10° to 80°):
| Position (°2θ) | Rel. int. |
| --- | --- |
| 36.80 | 56 |
| 43.45 | 100 |
| 45.49 | 20 |
| 66.29 | 20 |
| 70.89 | 30 |
| 78.30 | 22 |

Structure:
Cell lengths 4.8845, 4.8845, 4.8845 Å; angles 60.00, 60.00, 60.00 degrees
Fractional coordinates of all 6 atoms:
Er: 0.0000 0.0000 0.0000
Nb: 0.2500 0.2500 0.2500
Co: 0.1239 0.6254 0.6254
Co: 0.6254 0.1239 0.6254
Co: 0.6254 0.6254 0.1239
Co: 0.6254 0.6254 0.6254

---

6.
Structure and theoretical powder diffractogram of NdEr6Co2 (a cell relaxed with PBE; Cu Kα, 1.54184 Å).
No peak broadening, texture or thermal motion is included.

Main lines, sorted by position (2θ from 10° to 80°):
| Position (°2θ) | Rel. int. |
| --- | --- |
| 29.82 | 28 |
| 31.78 | 100 |
| 33.99 | 40 |
| 34.22 | 23 |
| 34.42 | 29 |
| 59.44 | 22 |

Structure:
Cell lengths 8.4564, 8.4564, 8.4564 Å; angles 112.21, 108.55, 107.68 degrees
Fractional coordinates of all 18 atoms:
Nd: 0.0000 0.0000 0.0000
Nd: 0.5000 0.5000 0.0000
Er: 0.0174 0.2376 0.7798
Er: 0.1870 0.2897 0.4767
Er: 0.1870 0.7103 0.8973
Er: 0.3193 0.0044 0.6851
Er: 0.3193 0.6341 0.3149
Er: 0.4578 0.2376 0.2202
Er: 0.5422 0.7624 0.7798
Er: 0.6807 0.3659 0.6851
Er: 0.6807 0.9956 0.3149
Er: 0.8130 0.2897 0.1027
Er: 0.8130 0.7103 0.5233
Er: 0.9826 0.7624 0.2202
Co: 0.1130 0.6130 0.5000
Co: 0.3258 0.0000 0.3258
Co: 0.6742 0.0000 0.6742
Co: 0.8870 0.3870 0.5000

---

7.
Structure and theoretical powder diffractogram of Nd4ErCo4 (a cell relaxed with PBE; Cu Kα, 1.54184 Å).
No peak broadening, texture or thermal motion is included.

Main lines, sorted by position (2θ from 10° to 80°):
| Position (°2θ) | Rel. int. |
| --- | --- |
| 28.04 | 87 |
| 32.66 | 52 |
| 33.27 | 100 |
| 39.08 | 36 |
| 47.76 | 28 |
| 49.82 | 30 |

Structure:
Cell lengths 8.5165, 8.5165, 5.7917 Å; angles 90.00, 90.00, 90.00 degrees
Fractional coordinates of all 18 atoms:
Nd: 0.0539 0.6774 0.1282
Nd: 0.1774 0.9461 0.6282
Nd: 0.3226 0.5539 0.6282
Nd: 0.4461 0.8226 0.1282
Nd: 0.5539 0.1774 0.8718
Nd: 0.6774 0.4461 0.3718
Nd: 0.8226 0.0539 0.3718
Nd: 0.9461 0.3226 0.8718
Er: 0.2500 0.2500 0.2500
Er: 0.7500 0.7500 0.7500
Co: 0.0089 0.6142 0.6040
Co: 0.1142 0.9911 0.1040
Co: 0.3858 0.5089 0.1040
Co: 0.4911 0.8858 0.6040
Co: 0.5089 0.1142 0.3960
Co: 0.6142 0.4911 0.8960
Co: 0.8858 0.0089 0.8960
Co: 0.9911 0.3858 0.3960

---

8.
Structure and theoretical powder diffractogram of NdEr4Co4 (a cell relaxed with PBE; Cu Kα, 1.54184 Å).
No peak broadening, texture or thermal motion is included.

Main lines, sorted by position (2θ from 10° to 80°):
| Position (°2θ) | Rel. int. |
| --- | --- |
| 28.65 | 78 |
| 33.50 | 100 |
| 34.31 | 56 |
| 40.57 | 24 |
| 48.10 | 31 |
| 51.19 | 28 |

Structure:
Cell lengths 8.4591, 8.4591, 5.4969 Å; angles 90.00, 90.00, 90.00 degrees
Fractional coordinates of all 18 atoms:
Nd: 0.2500 0.2500 0.2500
Nd: 0.7500 0.7500 0.7500
Er: 0.0674 0.6706 0.1350
Er: 0.1706 0.9326 0.6350
Er: 0.3294 0.5674 0.6350
Er: 0.4326 0.8294 0.1350
Er: 0.5674 0.1706 0.8650
Er: 0.6706 0.4326 0.3650
Er: 0.8294 0.0674 0.3650
Er: 0.9326 0.3294 0.8650
Co: 0.0187 0.6092 0.6208
Co: 0.1092 0.9813 0.1208
Co: 0.3908 0.5187 0.1208
Co: 0.4813 0.8908 0.6208
Co: 0.5187 0.1092 0.3792
Co: 0.6092 0.4813 0.8792
Co: 0.8908 0.0187 0.8792
Co: 0.9813 0.3908 0.3792

---

9.
Structure and theoretical powder diffractogram of Er8CoNi2 (a cell relaxed with PBE; Cu Kα, 1.54184 Å).
No peak broadening, texture or thermal motion is included.

Main lines, sorted by position (2θ from 10° to 80°):
| Position (°2θ) | Rel. int. |
| --- | --- |
| 27.58 | 73 |
| 30.97 | 84 |
| 31.73 | 100 |
| 32.43 | 82 |
| 33.62 | 77 |
| 34.10 | 80 |

Structure:
Cell lengths 7.3027, 7.3027, 5.9497 Å; angles 100.82, 100.82, 112.21 degrees
Fractional coordinates of all 11 atoms:
Er: 0.0000 0.0000 0.0000
Er: 0.0205 0.2821 0.5675
Er: 0.1491 0.5605 0.1840
Er: 0.2821 0.0205 0.5675
Er: 0.4368 0.7003 0.7778
Er: 0.5605 0.1491 0.1840
Er: 0.7003 0.4368 0.7778
Er: 0.7119 0.7119 0.3668
Co: 0.3534 0.3534 0.3683
Ni: 0.0474 0.6746 0.6771
Ni: 0.6746 0.0474 0.6771

---

10.
Structure and theoretical powder diffractogram of Er4Co2Ni (a cell relaxed with PBE; Cu Kα, 1.54184 Å).
No peak broadening, texture or thermal motion is included.

Main lines, sorted by position (2θ from 10° to 80°):
| Position (°2θ) | Rel. int. |
| --- | --- |
| 27.91 | 34 |
| 30.27 | 59 |
| 30.81 | 100 |
| 39.00 | 22 |
| 48.88 | 33 |
| 50.51 | 25 |

Structure:
Cell lengths 7.4622, 7.4622, 7.4622 Å; angles 118.08, 107.19, 103.52 degrees
Fractional coordinates of all 14 atoms:
Er: 0.1449 0.4435 0.7013
Er: 0.2010 0.0000 0.2010
Er: 0.2578 0.5350 0.2772
Er: 0.2578 0.9805 0.7228
Er: 0.6869 0.4643 0.7774
Er: 0.6869 0.9096 0.2226
Er: 0.7422 0.4435 0.2987
Er: 0.7990 0.0000 0.7990
Co: 0.4717 0.7218 0.7499
Co: 0.9724 0.2227 0.2503
Co: 0.9719 0.7218 0.2501
Co: 0.9724 0.7221 0.7497
Ni: 0.4594 0.4594 0.0000
Ni: 0.4849 0.9849 0.5000

---

11.
Structure and theoretical powder diffractogram of Er8Co2Ni (a cell relaxed with PBE; Cu Kα, 1.54184 Å).
No peak broadening, texture or thermal motion is included.

Main lines, sorted by position (2θ from 10° to 80°):
| Position (°2θ) | Rel. int. |
| --- | --- |
| 30.85 | 47 |
| 32.91 | 100 |
| 33.31 | 31 |
| 35.70 | 29 |
| 36.93 | 48 |
| 63.99 | 20 |

Structure:
Cell lengths 8.7789, 8.7789, 6.5870 Å; angles 106.20, 106.20, 32.19 degrees
Fractional coordinates of all 11 atoms:
Er: 0.0358 0.0358 0.2901
Er: 0.2024 0.2024 0.8224
Er: 0.3287 0.3287 0.5260
Er: 0.4055 0.4055 0.0454
Er: 0.5945 0.5945 0.9546
Er: 0.6713 0.6713 0.4740
Er: 0.7976 0.7976 0.1776
Er: 0.9642 0.9642 0.7099
Co: 0.1876 0.1876 0.2107
Co: 0.8124 0.8124 0.7893
Ni: 0.5000 0.5000 0.5000

---

12.
Structure and theoretical powder diffractogram of Er2Co15Ni2 (a cell relaxed with PBE; Cu Kα, 1.54184 Å).
No peak broadening, texture or thermal motion is included.

Main lines, sorted by position (2θ from 10° to 80°):
| Position (°2θ) | Rel. int. |
| --- | --- |
| 31.02 | 41 |
| 37.55 | 44 |
| 39.06 | 35 |
| 43.64 | 69 |
| 44.04 | 100 |
| 45.23 | 33 |

Structure:
Cell lengths 6.2466, 6.2466, 6.2466 Å; angles 83.23, 83.23, 83.23 degrees
Fractional coordinates of all 19 atoms:
Er: 0.1585 0.1585 0.1585
Er: 0.8415 0.8415 0.8415
Co: 0.0000 0.5000 0.5000
Co: 0.1525 0.1525 0.6527
Co: 0.1525 0.6527 0.1525
Co: 0.2124 0.5000 0.7876
Co: 0.2124 0.7876 0.5000
Co: 0.3473 0.8475 0.8475
Co: 0.5000 0.0000 0.5000
Co: 0.5000 0.2124 0.7876
Co: 0.5000 0.5000 0.0000
Co: 0.5000 0.7876 0.2124
Co: 0.6527 0.1525 0.1525
Co: 0.7876 0.2124 0.5000
Co: 0.7876 0.5000 0.2124
Co: 0.8475 0.3473 0.8475
Co: 0.8475 0.8475 0.3473
Ni: 0.3982 0.3982 0.3982
Ni: 0.6018 0.6018 0.6018

---

13.
Structure and theoretical powder diffractogram of ErCoNiP2 (a cell relaxed with PBE; Cu Kα, 1.54184 Å).
No peak broadening, texture or thermal motion is included.

Main lines, sorted by position (2θ from 10° to 80°):
| Position (°2θ) | Rel. int. |
| --- | --- |
| 25.07 | 50 |
| 37.19 | 54 |
| 38.34 | 100 |
| 47.33 | 39 |
| 54.66 | 18 |
| 61.68 | 25 |

Structure:
Cell lengths 3.8411, 3.8411, 9.3351 Å; angles 90.00, 90.00, 90.00 degrees
Fractional coordinates of all 10 atoms:
Er: 0.0000 0.0000 0.0000
Er: 0.5000 0.5000 0.5000
Co: 0.0000 0.5000 0.2500
Co: 0.5000 0.0000 0.7500
Ni: 0.0000 0.5000 0.7500
Ni: 0.5000 0.0000 0.2500
P: 0.0000 0.0000 0.3761
P: 0.0000 0.0000 0.6239
P: 0.5000 0.5000 0.1239
P: 0.5000 0.5000 0.8761